Starting from a structure optimized by DFT (PBE+U), the powder X-ray diffraction pattern of Li4MnP6O18 was simulated for CuKα.
Peak positions follow from Bragg's law for the DFT cell and can differ from measured ones.

Structural model:
```
data_Li4MnP6O18
_chemical_formula_sum 'Li4 Mn1 P6 O18'
_cell_length_a 7.321
_cell_length_b 7.384
_cell_length_c 7.527
_cell_angle_alpha 106.18
_cell_angle_beta 114.44
_cell_angle_gamma 97.22
_space_group_name_H-M_alt 'P 1'
_space_group_IT_number 1
_space_group_name_Hall 'P 1'
loop_
_atom_site_label
_atom_site_type_symbol
_atom_site_fract_x
_atom_site_fract_y
_atom_site_fract_z
Li1 Li 0.000 0.000 0.000
Li2 Li 0.111 0.370 0.444
Li3 Li 0.250 0.685 0.881
Li4 Li 0.872 0.730 0.527
Mn1 Mn 0.433 0.946 0.402
P1 P 0.295 0.059 0.772
P2 P 0.397 0.345 0.172
P3 P 0.603 0.625 0.747
P4 P 0.654 0.081 0.145
P5 P 0.843 0.345 0.711
P6 P 0.959 0.627 0.121
O1 O 0.123 0.778 0.123
O2 O 0.136 0.908 0.772
O3 O 0.260 0.212 0.215
O4 O 0.277 0.065 0.568
O5 O 0.310 0.274 0.916
O6 O 0.378 0.593 0.692
O7 O 0.439 0.561 0.256
O8 O 0.528 0.039 0.896
O9 O 0.537 0.922 0.180
O10 O 0.620 0.291 0.242
O11 O 0.631 0.414 0.643
O12 O 0.712 0.779 0.701
O13 O 0.734 0.660 0.996
O14 O 0.770 0.125 0.617
O15 O 0.879 0.111 0.205
O16 O 0.934 0.412 0.964
O17 O 0.982 0.610 0.321
O18 O 0.993 0.459 0.667
```

Peak list (10 most intense, 10° ≤ 2θ ≤ 80°, most intense first)
2θ = 18.44°, I = 100, hkl 1 1 -1
2θ = 28.10°, I = 69, hkl 1 -2 1
2θ = 24.71°, I = 65, hkl 1 1 -2
2θ = 16.16°, I = 54, hkl 1 -1 0
2θ = 13.83°, I = 52, hkl 1 0 0
2θ = 28.72°, I = 47, hkl 1 2 -1
2θ = 31.03°, I = 45, hkl -1 2 1
2θ = 32.71°, I = 43, hkl -2 1 2
2θ = 27.98°, I = 43, hkl 0 0 2
2θ = 27.30°, I = 29, hkl 2 -1 0